Diffraction record for NaGaS2. The powder XRD pattern is computed, not measured: it uses a GGA-PBE-relaxed structure and copper Kα.

Principal peaks in the range 10 to 90 degrees two-theta, in order of falling intensity:
2theta, I_rel, (hkl)
15.86, 100, 0 1 -1
24.66, 49, 1 0 -1
12.67, 49, 0 1 0
39.11, 42, 1 0 -3
47.38, 41, 1 3 0
27.30, 40, 1 -1 0
25.49, 39, 0 2 0
30.20, 39, 1 0 1
42.09, 36, 1 2 1
48.91, 34, 2 0 -1

Structure:
Lattice parameters (Å, degrees): 3.724 7.105 7.680 100.10 104.02 90.05
Atoms (fractional coordinates):
Na1 0.165 0.172 0.331
Na2 0.835 0.828 0.669
Ga1 0.410 0.358 0.821
Ga2 0.590 0.642 0.179
S1 0.173 0.775 0.345
S2 0.441 0.686 0.881
S3 0.559 0.314 0.119
S4 0.827 0.225 0.655